1.
This entry pairs a crystal structure of Ba4AgBr2N with its theoretical powder X-ray diffraction pattern. Radiation: Cu Kα (λ = 1.5418 Å). Structure: a structure optimized by DFT (PBE).

Atomic structure:
Unit cell a=8.0391 b=4.4729 c=8.4422 alpha=90.00 beta=107.70 gamma=90.00
Sites, in units of the cell vectors:
Ba1 0.2066 0.0000 0.2997
Ba2 0.2144 0.5000 0.7000
Ba3 0.7856 0.5000 0.3000
Ba4 0.7934 0.0000 0.7003
Ag1 0.5000 0.5000 0.5000
Br1 0.0000 0.5000 0.0000
Br2 0.5000 0.0000 0.0000
N1 0.0000 0.0000 0.5000

Principal peaks in the range 15° ≤ 2θ ≤ 90°, low angle first:
2θ (°), I/Imax
26.83, 36
27.10, 100
37.01, 16
37.80, 23
39.19, 26
40.33, 19

2.
This entry pairs a crystal structure of BaAg2OsBr8 with its theoretical powder X-ray diffraction pattern. Radiation: Cu Kα (λ = 1.5418 Å). Structure: a structure optimized by DFT (PBE).

Atomic structure:
Unit cell a=6.6342 b=7.0159 c=8.8967 alpha=91.64 beta=91.29 gamma=109.41
Sites, in units of the cell vectors:
Ba1 0.0000 0.0000 0.0000
Ag1 0.0198 0.5147 0.2306
Ag2 0.9802 0.4853 0.7694
Os1 0.0000 0.0000 0.5000
Br1 0.2078 0.7645 0.4805
Br2 0.2374 0.2290 0.3146
Br3 0.2538 0.2075 0.7048
Br4 0.2763 0.6970 0.9863
Br5 0.7237 0.3030 0.0137
Br6 0.7462 0.7925 0.2952
Br7 0.7626 0.7710 0.6854
Br8 0.7922 0.2355 0.5195

Principal peaks in the range 15° ≤ 2θ ≤ 90°, low angle first:
2θ (°), I/Imax
23.69, 33
25.95, 60
29.65, 100
31.01, 90
32.19, 76
46.14, 34

3.
This entry pairs a crystal structure of Ba6Ag2PtBr3 with its theoretical powder X-ray diffraction pattern. Radiation: Cu Kα (λ = 1.5418 Å). Structure: a structure optimized by DFT (PBE).

Atomic structure:
Unit cell a=8.1102 b=8.1102 c=8.9085 alpha=98.74 beta=98.74 gamma=120.00
Sites, in units of the cell vectors:
Ba1 0.0739 0.3880 0.2214
Ba2 0.2404 0.2404 0.7794
Ba3 0.3880 0.0739 0.2214
Ba4 0.6120 0.9261 0.7786
Ba5 0.7596 0.7596 0.2206
Ba6 0.9261 0.6120 0.7786
Ag1 0.3332 0.6668 0.0000
Ag2 0.6668 0.3332 0.0000
Pt1 0.0000 0.0000 0.0000
Br1 0.1665 0.8335 0.5000
Br2 0.5000 0.5000 0.5000
Br3 0.8335 0.1665 0.5000

Principal peaks in the range 15° ≤ 2θ ≤ 90°, low angle first:
2θ (°), I/Imax
26.05, 100
35.87, 39
38.45, 35
47.04, 19
58.73, 15
62.31, 16

4.
This entry pairs a crystal structure of BaSmAg2Br8 with its theoretical powder X-ray diffraction pattern. Radiation: Cu Kα (λ = 1.5418 Å). Structure: a structure optimized by DFT (PBE).

Atomic structure:
Unit cell a=9.1094 b=9.1094 c=9.1094 alpha=133.06 beta=133.06 gamma=68.56
Sites, in units of the cell vectors:
Ba1 0.0000 0.0000 0.0000
Sm1 0.2500 0.7500 0.5000
Ag1 0.5000 0.5000 0.0000
Ag2 0.7500 0.2500 0.5000
Br1 0.0002 0.0311 0.3947
Br2 0.2637 0.7028 0.1407
Br3 0.2972 0.4379 0.5610
Br4 0.3945 0.9998 0.0309
Br5 0.5621 0.1231 0.8593
Br6 0.6364 0.6055 0.6053
Br7 0.8769 0.7363 0.4390
Br8 0.9689 0.3636 0.9691

Principal peaks in the range 15° ≤ 2θ ≤ 90°, low angle first:
2θ (°), I/Imax
20.95, 100
28.13, 42
29.43, 50
34.33, 57
34.98, 39
41.13, 62

5.
This entry pairs a crystal structure of BaTlAgBr6 with its theoretical powder X-ray diffraction pattern. Radiation: Cu Kα (λ = 1.5418 Å). Structure: a structure optimized by DFT (PBE).

Atomic structure:
Unit cell a=7.3463 b=7.3463 c=6.9986 alpha=90.16 beta=90.16 gamma=119.65
Sites, in units of the cell vectors:
Ba1 0.0000 0.0000 0.0000
Tl1 0.6666 0.3334 0.5000
Ag1 0.3323 0.6677 0.5000
Br1 0.3684 0.3622 0.2684
Br2 0.3688 0.0091 0.7306
Br3 0.6378 0.6316 0.7316
Br4 0.6390 0.0086 0.2676
Br5 0.9914 0.3610 0.7324
Br6 0.9909 0.6312 0.2694

Principal peaks in the range 15° ≤ 2θ ≤ 90°, low angle first:
2θ (°), I/Imax
18.83, 100
27.24, 23
27.44, 61
35.40, 38
35.48, 44
42.48, 34

6.
This entry pairs a crystal structure of Ba3CaAg4 with its theoretical powder X-ray diffraction pattern. Radiation: Cu Kα (λ = 1.5418 Å). Structure: a structure optimized by DFT (PBE).

Atomic structure:
Unit cell a=4.0230 b=4.0230 c=16.0762 alpha=90.00 beta=90.00 gamma=90.00
Sites, in units of the cell vectors:
Ba1 0.0000 0.0000 0.0000
Ba2 0.0000 0.0000 0.2618
Ba3 0.0000 0.0000 0.7382
Ca1 0.0000 0.0000 0.5000
Ag1 0.5000 0.5000 0.1309
Ag2 0.5000 0.5000 0.4046
Ag3 0.5000 0.5000 0.5954
Ag4 0.5000 0.5000 0.8691

Principal peaks in the range 15° ≤ 2θ ≤ 90°, low angle first:
2θ (°), I/Imax
27.73, 10
31.46, 100
45.08, 17
56.01, 30
65.66, 8
74.61, 12

7.
This entry pairs a crystal structure of BaCaAg3 with its theoretical powder X-ray diffraction pattern. Radiation: Cu Kα (λ = 1.5418 Å). Structure: a structure optimized by DFT (PBE).

Atomic structure:
Unit cell a=14.5750 b=14.5750 c=4.7426 alpha=90.00 beta=90.00 gamma=163.10
Sites, in units of the cell vectors:
Ba1 0.0758 0.9242 0.7500
Ba2 0.9242 0.0758 0.2500
Ca1 0.2075 0.7925 0.2500
Ca2 0.7925 0.2075 0.7500
Ag1 0.3176 0.6824 0.2500
Ag2 0.3735 0.6265 0.7500
Ag3 0.4733 0.5267 0.7500
Ag4 0.5267 0.4733 0.2500
Ag5 0.6265 0.3735 0.2500
Ag6 0.6824 0.3176 0.7500

Principal peaks in the range 15° ≤ 2θ ≤ 90°, low angle first:
2θ (°), I/Imax
29.59, 100
30.09, 36
36.47, 61
37.94, 32
42.18, 24
56.96, 32

8.
This entry pairs a crystal structure of BaCaAg6 with its theoretical powder X-ray diffraction pattern. Radiation: Cu Kα (λ = 1.5418 Å). Structure: a structure optimized by DFT (PBE).

Atomic structure:
Unit cell a=5.7503 b=5.7503 c=5.7503 alpha=90.00 beta=90.00 gamma=90.00
Sites, in units of the cell vectors:
Ba1 0.0000 0.0000 0.0000
Ca1 0.5000 0.5000 0.5000
Ag1 0.0000 0.2576 0.5000
Ag2 0.0000 0.7424 0.5000
Ag3 0.2576 0.5000 0.0000
Ag4 0.5000 0.0000 0.2576
Ag5 0.5000 0.0000 0.7424
Ag6 0.7424 0.5000 0.0000

Principal peaks in the range 15° ≤ 2θ ≤ 90°, low angle first:
2θ (°), I/Imax
31.11, 26
34.89, 100
38.34, 58
57.81, 23
60.22, 30
75.81, 19

9.
This entry pairs a crystal structure of Ba3Ca4Ag4 with its theoretical powder X-ray diffraction pattern. Radiation: Cu Kα (λ = 1.5418 Å). Structure: a structure optimized by DFT (PBE).

Atomic structure:
Unit cell a=10.4411 b=10.4411 c=10.4411 alpha=154.94 beta=124.18 gamma=62.12
Sites, in units of the cell vectors:
Ba1 0.0000 0.0000 0.0000
Ba2 0.3916 0.8916 0.5000
Ba3 0.6084 0.1084 0.5000
Ca1 0.0153 0.3265 0.6888
Ca2 0.3623 0.6735 0.6888
Ca3 0.6377 0.3265 0.3112
Ca4 0.9847 0.6735 0.3112
Ag1 0.2395 0.2395 0.0000
Ag2 0.2903 0.5000 0.7903
Ag3 0.7097 0.5000 0.2097
Ag4 0.7605 0.7605 0.0000

Principal peaks in the range 15° ≤ 2θ ≤ 90°, low angle first:
2θ (°), I/Imax
26.53, 29
27.30, 100
29.52, 100
31.28, 26
39.79, 25
55.13, 27

10.
This entry pairs a crystal structure of Ba2CaAg with its theoretical powder X-ray diffraction pattern. Radiation: Cu Kα (λ = 1.5418 Å). Structure: a structure optimized by DFT (PBE).

Atomic structure:
Unit cell a=11.4035 b=11.4035 c=11.4035 alpha=22.80 beta=22.80 gamma=22.80
Sites, in units of the cell vectors:
Ba1 0.2302 0.2302 0.2302
Ba2 0.7698 0.7698 0.7698
Ca1 0.0000 0.0000 0.0000
Ag1 0.5000 0.5000 0.5000

Principal peaks in the range 15° ≤ 2θ ≤ 90°, low angle first:
2θ (°), I/Imax
25.19, 100
29.60, 33
31.41, 34
37.59, 25
40.00, 34
47.86, 17

11.
This entry pairs a crystal structure of Ba3Ca2Ag3 with its theoretical powder X-ray diffraction pattern. Radiation: Cu Kα (λ = 1.5418 Å). Structure: a structure optimized by DFT (PBE).

Atomic structure:
Unit cell a=7.7336 b=7.7336 c=17.1748 alpha=90.00 beta=90.00 gamma=143.99
Sites, in units of the cell vectors:
Ba1 0.0568 0.9432 0.6195
Ba2 0.0568 0.9432 0.8805
Ba3 0.3454 0.6546 0.7500
Ba4 0.6546 0.3454 0.2500
Ba5 0.9432 0.0568 0.1195
Ba6 0.9432 0.0568 0.3805
Ca1 0.2260 0.7740 0.0782
Ca2 0.2260 0.7740 0.4218
Ca3 0.7740 0.2260 0.5782
Ca4 0.7740 0.2260 0.9218
Ag1 0.3310 0.6690 0.2500
Ag2 0.4047 0.5953 0.5340
Ag3 0.4047 0.5953 0.9660
Ag4 0.5953 0.4047 0.0340
Ag5 0.5953 0.4047 0.4660
Ag6 0.6690 0.3310 0.7500

Principal peaks in the range 15° ≤ 2θ ≤ 90°, low angle first:
2θ (°), I/Imax
26.03, 30
26.55, 30
28.61, 100
30.42, 35
37.62, 26
50.19, 17

12.
This entry pairs a crystal structure of Ba2CaCdAg6 with its theoretical powder X-ray diffraction pattern. Radiation: Cu Kα (λ = 1.5418 Å). Structure: a structure optimized by DFT (PBE).

Atomic structure:
Unit cell a=7.7626 b=7.7626 c=7.7626 alpha=60.00 beta=60.00 gamma=60.00
Sites, in units of the cell vectors:
Ba1 0.2500 0.2500 0.2500
Ba2 0.7500 0.7500 0.7500
Ca1 0.0000 0.0000 0.0000
Cd1 0.5000 0.5000 0.5000
Ag1 0.2576 0.2576 0.7424
Ag2 0.2576 0.7424 0.2576
Ag3 0.2576 0.7424 0.7424
Ag4 0.7424 0.2576 0.2576
Ag5 0.7424 0.2576 0.7424
Ag6 0.7424 0.7424 0.2576

Principal peaks in the range 15° ≤ 2θ ≤ 90°, low angle first:
2θ (°), I/Imax
28.16, 100
32.63, 100
46.81, 70
55.53, 42
58.22, 24
77.82, 29